Structure and calculated XRD peak list of Pa8SiTc5 (DFT lattice parameters and positions (PBE); λ = 1.5418 Å (Cu Kα)).
Peak positions follow from Bragg's law for the DFT cell and can differ from measured ones.

Cell and atoms:
```
Pa8SiTc5
1.0
-4.348 4.348 4.072
4.348 -4.348 4.072
4.348 4.348 -4.072
Pa Si Tc
8 1 5
direct
0.002 0.881 0.241
0.119 0.360 0.121
0.133 0.383 0.634
0.239 0.998 0.879
0.501 0.867 0.249
0.617 0.251 0.751
0.640 0.761 0.759
0.749 0.499 0.366
0.250 0.750 0.500
0.023 0.628 0.881
0.372 0.253 0.395
0.500 0.500 0.000
0.747 0.143 0.119
0.857 0.977 0.605
```

Principal peaks in the range 10° ≤ 2θ ≤ 90°, in order of rising 2θ:
| 2θ/deg | I (rel.) |
| --- | --- |
| 30.1 | 53 |
| 32.6 | 92 |
| 32.8 | 100 |
| 34.6 | 79 |
| 38.9 | 52 |
| 39.5 | 50 |
| 40.5 | 45 |
| 53.9 | 44 |